The following is a computed PXRD pattern of Ba4MgTl. It was derived from a DFT-relaxed cell (GGA-PBE, Alexandria), using Cu Ka.
Peak positions follow from Bragg's law for the DFT cell and can differ from measured ones.

Largest 10 diffraction maxima, low angle first, 15° ≤ 2θ ≤ 90°:
hkl 1 1 0, 17.83 deg, intensity 30
hkl 1 0 1, 20.82 deg, intensity 19
hkl 1 2 1, 29.17 deg, intensity 100
hkl 2 0 0, 29.61 deg, intensity 49
hkl 1 1 2, 34.77 deg, intensity 12
hkl 2 0 2, 42.36 deg, intensity 18
hkl 2 4 0, 51.45 deg, intensity 19
hkl 3 2 1, 52.26 deg, intensity 39
hkl 2 4 2, 60.48 deg, intensity 12
hkl 5 2 1, 84.84 deg, intensity 10

Structure:
a = 6.035 Å, b = 8.789 Å, c = 6.035 Å
α = 90.00°, β = 90.01°, γ = 90.00°
Space group Pm (No. 6)
Asymmetric unit:
Ba: 0.000 0.235 0.000 (multiplicity 2)
Ba: 0.500 0.235 0.499 (multiplicity 2)
Mg: 0.500 0.500 0.999 (multiplicity 1)
Tl: 0.000 0.000 0.500 (multiplicity 1)



The following is a computed PXRD pattern of Mn2Pt2Cl. It was derived from a DFT-relaxed cell (GGA-PBE, Alexandria), using Cu Ka.
Peak positions follow from Bragg's law for the DFT cell and can differ from measured ones.

Largest 10 diffraction maxima, low angle first, 15° ≤ 2θ ≤ 90°:
hkl 0 0 4, 25.37 deg, intensity 32
hkl 1 1 0, 33.41 deg, intensity 18
hkl 1 1 2, 35.84 deg, intensity 100
hkl 1 1 4, 42.41 deg, intensity 74
hkl 2 0 0, 47.97 deg, intensity 34
hkl 2 0 2, 49.81 deg, intensity 27
hkl 1 1 6, 51.85 deg, intensity 32
hkl 2 0 8, 73.52 deg, intensity 19
hkl 3 1 2, 81.40 deg, intensity 19
hkl 3 1 4, 85.57 deg, intensity 20

Structure:
a = 3.793 Å, b = 3.793 Å, c = 14.043 Å
α = 90.00°, β = 90.00°, γ = 90.00°
Space group I4/mmm (No. 139)
Asymmetric unit:
Mn: 0.000 0.000 0.122 (multiplicity 4)
Pt: 0.000 0.500 0.250 (multiplicity 4)
Cl: 0.000 0.000 0.500 (multiplicity 2)



The following is a computed PXRD pattern of Sm5Tl2Hg2. It was derived from a DFT-relaxed cell (GGA-PBE, Alexandria), using Cu Ka.
Peak positions follow from Bragg's law for the DFT cell and can differ from measured ones.

Largest 10 diffraction maxima, low angle first, 15° ≤ 2θ ≤ 90°:
hkl 2 2 1, 25.93 deg, intensity 30
hkl 4 2 0, 29.58 deg, intensity 43
hkl 3 1 2, 30.61 deg, intensity 100
hkl 0 2 2, 31.54 deg, intensity 41
hkl 4 2 1, 31.97 deg, intensity 58
hkl 6 0 0, 32.15 deg, intensity 58
hkl 1 3 1, 33.45 deg, intensity 78
hkl 1 1 3, 38.02 deg, intensity 31
hkl 7 1 1, 41.01 deg, intensity 27
hkl 5 3 1, 42.93 deg, intensity 35

Structure:
a = 16.718 Å, b = 8.739 Å, c = 7.458 Å
α = 90.00°, β = 90.00°, γ = 90.00°
Space group Cmce (No. 64)
Asymmetric unit:
Sm: 0.000 0.000 0.000 (multiplicity 4)
Sm: 0.140 0.186 0.342 (multiplicity 16)
Tl: 0.210 0.000 0.000 (multiplicity 8)
Hg: 0.000 0.141 0.619 (multiplicity 8)



The following is a computed PXRD pattern of Er2AlSn4. It was derived from a DFT-relaxed cell (GGA-PBE, Alexandria), using Cu Ka.
Peak positions follow from Bragg's law for the DFT cell and can differ from measured ones.

Largest 10 diffraction maxima, low angle first, 15° ≤ 2θ ≤ 90°:
hkl 0 0 3, 28.09 deg, intensity 20
hkl 1 1 0, 28.87 deg, intensity 13
hkl 1 1 1, 30.39 deg, intensity 30
hkl 1 1 2, 34.58 deg, intensity 100
hkl 1 0 3, 34.91 deg, intensity 15
hkl 2 0 0, 41.28 deg, intensity 40
hkl 2 0 3, 50.68 deg, intensity 16
hkl 1 0 5, 52.37 deg, intensity 14
hkl 2 2 0, 59.81 deg, intensity 14
hkl 3 1 2, 70.96 deg, intensity 26

Structure:
a = 4.374 Å, b = 4.374 Å, c = 9.528 Å
α = 90.00°, β = 90.00°, γ = 90.00°
Space group P-4m2 (No. 115)
Asymmetric unit:
Er: 0.000 0.500 0.242 (multiplicity 2)
Al: 0.500 0.500 0.000 (multiplicity 1)
Sn: 0.000 0.000 0.500 (multiplicity 1)
Sn: 0.000 0.500 0.825 (multiplicity 2)
Sn: 0.500 0.500 0.500 (multiplicity 1)



The following is a computed PXRD pattern of Dy6GaAu5. It was derived from a DFT-relaxed cell (GGA-PBE, Alexandria), using Cu Ka.
Peak positions follow from Bragg's law for the DFT cell and can differ from measured ones.

Largest 10 diffraction maxima, low angle first, 15° ≤ 2θ ≤ 90°:
hkl 1 2 1, 35.21 deg, intensity 100
hkl 0 0 3, 35.30 deg, intensity 24
hkl 2 0 -1, 35.42 deg, intensity 25
hkl 0 4 0, 50.41 deg, intensity 9
hkl 2 0 -4, 50.87 deg, intensity 17
hkl 2 4 -1, 63.08 deg, intensity 18
hkl 1 2 4, 63.29 deg, intensity 18
hkl 3 2 0, 63.45 deg, intensity 18
hkl 2 4 -4, 74.43 deg, intensity 11
hkl 1 6 1, 84.74 deg, intensity 8

Structure:
a = 5.069 Å, b = 7.241 Å, c = 8.041 Å
α = 90.00°, β = 108.44°, γ = 90.00°
Space group P2/m (No. 10)
Asymmetric unit:
Dy: 0.000 0.245 0.000 (multiplicity 2)
Dy: 0.333 0.251 0.666 (multiplicity 4)
Ga: 0.500 0.500 0.000 (multiplicity 1)
Au: 0.157 0.500 0.315 (multiplicity 2)
Au: 0.169 0.000 0.339 (multiplicity 2)
Au: 0.500 0.000 0.000 (multiplicity 1)



The following is a computed PXRD pattern of In3H2Br4. It was derived from a DFT-relaxed cell (GGA-PBE, Alexandria), using Cu Ka.
Peak positions follow from Bragg's law for the DFT cell and can differ from measured ones.

Largest 10 diffraction maxima, low angle first, 15° ≤ 2θ ≤ 90°:
hkl 3 1 0, 21.58 deg, intensity 47
hkl 2 0 2, 28.01 deg, intensity 57
hkl 4 0 -2, 28.50 deg, intensity 40
hkl 0 2 2, 30.52 deg, intensity 100
hkl 2 2 -2, 30.67 deg, intensity 88
hkl 5 1 0, 33.36 deg, intensity 43
hkl 1 3 -1, 33.87 deg, intensity 45
hkl 3 1 2, 34.39 deg, intensity 42
hkl 5 1 -2, 34.93 deg, intensity 64
hkl 2 0 -4, 42.59 deg, intensity 45

Structure:
a = 14.730 Å, b = 8.400 Å, c = 8.492 Å
α = 90.00°, β = 105.77°, γ = 90.00°
Space group C2/c (No. 15)
Asymmetric unit:
In: 0.000 0.001 0.250 (multiplicity 4)
In: 0.142 0.442 0.329 (multiplicity 8)
H: 0.235 0.216 0.978 (multiplicity 8)
Br: 0.002 0.254 0.517 (multiplicity 8)
Br: 0.201 0.073 0.331 (multiplicity 8)



The following is a computed PXRD pattern of PuCuO5. It was derived from a DFT-relaxed cell (GGA-PBE, Alexandria), using Cu Ka.
Peak positions follow from Bragg's law for the DFT cell and can differ from measured ones.

Largest 10 diffraction maxima, low angle first, 15° ≤ 2θ ≤ 90°:
hkl 0 2 0, 15.27 deg, intensity 40
hkl 1 0 0, 16.36 deg, intensity 100
hkl 1 1 0, 18.07 deg, intensity 12
hkl 1 2 0, 22.45 deg, intensity 40
hkl 0 0 2, 26.25 deg, intensity 13
hkl 0 2 2, 30.51 deg, intensity 41
hkl 1 2 -2, 30.79 deg, intensity 54
hkl 1 4 0, 35.08 deg, intensity 24
hkl 2 2 0, 36.61 deg, intensity 22
hkl 1 2 2, 38.46 deg, intensity 13

Structure:
a = 5.669 Å, b = 11.607 Å, c = 7.104 Å
α = 90.00°, β = 107.10°, γ = 90.00°
Space group P2_1/c (No. 14)
Asymmetric unit:
Pu: 0.024 0.021 0.255 (multiplicity 4)
Cu: 0.163 0.250 0.039 (multiplicity 4)
O: 0.124 0.095 0.572 (multiplicity 4)
O: 0.127 0.094 0.987 (multiplicity 4)
O: 0.216 0.205 0.301 (multiplicity 4)
O: 0.254 0.603 0.310 (multiplicity 4)
O: 0.306 0.556 0.821 (multiplicity 4)



The following is a computed PXRD pattern of NdMg9Cu2. It was derived from a DFT-relaxed cell (GGA-PBE, Alexandria), using Cu Ka.
Peak positions follow from Bragg's law for the DFT cell and can differ from measured ones.

Largest 10 diffraction maxima, low angle first, 15° ≤ 2θ ≤ 90°:
hkl 2 0 0, 15.07 deg, intensity 17
hkl 2 1 1, 20.65 deg, intensity 68
hkl 1 1 2, 26.14 deg, intensity 21
hkl 3 2 1, 29.89 deg, intensity 52
hkl 4 0 0, 30.41 deg, intensity 21
hkl 4 2 0, 34.05 deg, intensity 100
hkl 1 0 3, 36.88 deg, intensity 26
hkl 4 2 2, 42.02 deg, intensity 25
hkl 5 2 1, 43.16 deg, intensity 18
hkl 2 2 4, 53.76 deg, intensity 20

Structure:
a = 11.758 Å, b = 11.758 Å, c = 7.475 Å
α = 90.00°, β = 90.00°, γ = 90.00°
Space group I4_1/amd (No. 141, origin choice 2)
Asymmetric unit:
Nd: 0.000 0.250 0.375 (multiplicity 4)
Mg: 0.000 0.250 0.875 (multiplicity 4)
Mg: 0.122 0.052 0.686 (multiplicity 32)
Cu: 0.000 0.000 0.000 (multiplicity 8)